1.
Computed PXRD pattern
Compound: SrY2O4
Radiation: Cu Ka
Structure: a structure optimized by DFT (GGA-PBE)

Principal peaks in the range 2θ = 5–70°, by angle:
d/Å  two_theta  I (rel.)  index
3.009  29.7  49  0 0 4
2.958  30.2  100  3 0 2
2.864  31.2  61  1 1 2
2.849  31.4  31  2 1 0
2.528  35.5  28  1 1 3
2.069  43.8  43  2 1 4
2.047  44.3  21  4 1 0
1.486  62.5  25  3 2 2

Cell lengths 10.1910, 3.4360, 12.0361 Å; angles 90.00, 90.00, 90.00 degrees
Space group Pnma (No. 62)
Inequivalent atoms, fractional coordinates:
Sr (0.2463, 0.2500, 0.1491) x4
Y (0.0757, 0.2500, 0.3876) x4
Y (0.0778, 0.2500, 0.8897) x4
O (0.0160, 0.7500, 0.7839) x4
O (0.0760, 0.2500, 0.5770) x4
O (0.1250, 0.7500, 0.0209) x4
O (0.2105, 0.7500, 0.3256) x4

=====

2.
Computed PXRD pattern
Compound: KMg14Nb
Radiation: Cu Ka
Structure: a structure optimized by DFT (GGA-PBE)

Principal peaks in the range 2θ = 5–70°, by angle:
d/Å  two_theta  I (rel.)  index
5.656  15.7  16  1 0 0
2.828  31.6  27  2 0 0
2.552  35.2  23  0 0 4
2.474  36.3  100  2 0 2
1.895  48.0  16  2 0 4
1.633  56.3  18  2 2 0
1.458  63.9  16  2 0 6
1.375  68.2  18  2 2 4

Cell lengths 6.5314, 6.5314, 10.2064 Å; angles 90.00, 90.00, 120.00 degrees
Space group P-6m2 (No. 187)
Inequivalent atoms, fractional coordinates:
K (0.0000, 0.0000, 0.0000) x1
Mg (0.0068, 0.5034, 0.0000) x3
Mg (0.1666, 0.3332, 0.2654) x6
Mg (0.5004, 0.0008, 0.5000) x3
Mg (0.6667, 0.3333, 0.2471) x2
Nb (0.0000, 0.0000, 0.5000) x1

=====

3.
Computed PXRD pattern
Compound: Ce3S3O16
Radiation: Cu Ka
Structure: a structure optimized by DFT (GGA-PBE)

Principal peaks in the range 2θ = 5–70°, by angle:
d/Å  two_theta  I (rel.)  index
7.720  11.5  37  1 1 0
7.599  11.6  53  1 0 1
3.799  23.4  71  2 0 2
3.448  25.8  40  3 1 0
3.118  28.6  100  2 2 2
2.891  30.9  32  1 3 2
2.298  39.2  29  2 3 3
1.900  47.9  29  4 0 4

Cell lengths 10.9179, 10.9179, 10.5829 Å; angles 90.00, 90.00, 90.00 degrees
Space group I4/m (No. 87)
Inequivalent atoms, fractional coordinates:
Ce (0.0000, 0.0000, 0.2472) x4
Ce (0.0312, 0.7582, 0.0000) x8
S (0.0000, 0.5000, 0.2500) x4
S (0.1283, 0.7810, 0.5000) x8
O (0.0474, 0.6022, 0.1710) x16
O (0.0669, 0.8300, 0.3854) x16
O (0.1033, 0.1327, 0.1222) x16
O (0.1159, 0.6461, 0.5000) x8
O (0.1816, 0.2589, 0.5000) x8

=====

4.
Computed PXRD pattern
Compound: CaH6PtO6
Radiation: Cu Ka
Structure: a structure optimized by DFT (GGA-PBE)

Principal peaks in the range 2θ = 5–70°, by angle:
d/Å  two_theta  I (rel.)  index
5.187  17.1  100  1 0 0
3.673  24.2  89  1 0 2
2.992  29.9  20  1 1 0
2.593  34.6  26  1 1 2
2.320  38.8  24  2 0 2
1.964  46.2  25  1 1 4
1.834  49.7  37  2 1 2
1.438  64.8  14  3 0 4

Cell lengths 5.9845, 5.9845, 10.4109 Å; angles 90.00, 90.00, 120.00 degrees
Space group P-31c (No. 163)
Inequivalent atoms, fractional coordinates:
Ca (0.3333, 0.6667, 0.2500) x2
H (0.0961, 0.3359, 0.8475) x12
Pt (0.0000, 0.0000, 0.0000) x2
O (0.0743, 0.3071, 0.3867) x12

=====

5.
Computed PXRD pattern
Compound: ScAsO5
Radiation: Cu Ka
Structure: a structure optimized by DFT (GGA-PBE)

Principal peaks in the range 2θ = 5–70°, by angle:
d/Å  two_theta  I (rel.)  index
5.504  16.1  37  0 1 0
4.736  18.7  100  1 -1 0
3.385  26.3  79  0 0 2
3.217  27.7  28  1 1 0
3.186  28.0  21  0 1 -2
3.131  28.5  34  1 1 -1
2.916  30.7  29  1 -2 0
2.756  32.5  55  2 -1 0

Cell lengths 5.5513, 6.0224, 6.9154 Å; angles 100.43, 91.36, 111.02 degrees
Space group P-1 (No. 2)
Inequivalent atoms, fractional coordinates:
Sc (0.1133, 0.2336, 0.2079) x2
As (0.2510, 0.3753, 0.7439) x2
O (0.1069, 0.1538, 0.8811) x2
O (0.1344, 0.2529, 0.5018) x2
O (0.1707, 0.6254, 0.8212) x2
O (0.4162, 0.0779, 0.2491) x2
O (0.4236, 0.5440, 0.2209) x2